[1]
Structure and computed PXRD pattern of Pr6ZnFe13 (DFT lattice parameters and positions (GGA-PBE); Cu Kα).

Structural model:
Unit cell a=12.9175 b=12.9175 c=12.9175 alpha=143.47 beta=143.47 gamma=52.62
Positions (direct):
Pr: 0.0236 0.5236 0.1722
Pr: 0.1071 0.1071 0.0000
Pr: 0.1485 0.9764 0.5000
Pr: 0.3515 0.8515 0.8278
Pr: 0.3929 0.3929 0.0000
Pr: 0.4764 0.6485 0.5000
Pr: 0.5236 0.3515 0.5000
Pr: 0.6071 0.6071 0.0000
Pr: 0.6485 0.1485 0.1722
Pr: 0.8515 0.0236 0.5000
Pr: 0.8929 0.8929 0.0000
Pr: 0.9764 0.4764 0.8278
Zn: 0.2500 0.2500 0.0000
Zn: 0.7500 0.7500 0.0000
Fe: 0.0000 0.5000 0.5000
Fe: 0.0189 0.2920 0.5000
Fe: 0.0664 0.2103 0.2768
Fe: 0.1193 0.6193 0.8570
Fe: 0.2080 0.4811 0.5000
Fe: 0.2103 0.9336 0.1439
Fe: 0.2376 0.7376 0.8570
Fe: 0.2624 0.1193 0.5000
Fe: 0.2897 0.4336 0.7232
Fe: 0.2920 0.7920 0.2731
Fe: 0.3807 0.2376 0.5000
Fe: 0.4336 0.7103 0.1439
Fe: 0.4811 0.9811 0.2731
Fe: 0.5000 0.0000 0.5000
Fe: 0.5189 0.0189 0.7269
Fe: 0.5664 0.2897 0.8561
Fe: 0.6193 0.7624 0.5000
Fe: 0.7080 0.2080 0.7269
Fe: 0.7103 0.5664 0.2768
Fe: 0.7376 0.8807 0.5000
Fe: 0.7624 0.2624 0.1430
Fe: 0.7897 0.0664 0.8561
Fe: 0.7920 0.5189 0.5000
Fe: 0.8807 0.3807 0.1430
Fe: 0.9336 0.7897 0.7232
Fe: 0.9811 0.7080 0.5000

Most intense lines, 2θ from 10° to 90°, in order of rising 2θ:
two_theta	Rel. int.
27.20	823
31.36	884
35.04	1000
38.22	650
38.44	357
43.13	430
46.40	435
67.41	358


[2]
Structure and computed PXRD pattern of NdPa3 (DFT lattice parameters and positions (GGA-PBE); Cu Kα).

Structural model:
Unit cell a=4.7464 b=4.7464 c=4.7464 alpha=90.00 beta=90.00 gamma=90.00
Positions (direct):
Nd: 0.0000 0.0000 0.0000
Pa: 0.0000 0.5000 0.5000
Pa: 0.5000 0.0000 0.5000
Pa: 0.5000 0.5000 0.0000

Most intense lines, 2θ from 10° to 90°, in order of rising 2θ:
two_theta	Rel. int.
18.70	27
26.56	24
32.68	1000
37.91	506
54.70	359
65.19	427
68.48	123
81.04	59


Please write out number 2 again, unchanged.
Structure and computed PXRD pattern of NdPa3 (DFT lattice parameters and positions (GGA-PBE); Cu Kα).

Structural model:
Unit cell a=4.7464 b=4.7464 c=4.7464 alpha=90.00 beta=90.00 gamma=90.00
Positions (direct):
Nd: 0.0000 0.0000 0.0000
Pa: 0.0000 0.5000 0.5000
Pa: 0.5000 0.0000 0.5000
Pa: 0.5000 0.5000 0.0000

Most intense lines, 2θ from 10° to 90°, in order of rising 2θ:
two_theta	Rel. int.
18.70	27
26.56	24
32.68	1000
37.91	506
54.70	359
65.19	427
68.48	123
81.04	59